Entry 1:
Simulated powder X-ray diffraction pattern
Compound: Pr3InHg5
Radiation: Cu Kα X-rays
Structure: DFT lattice parameters and positions (PBE)
Neutral-atom scattering factors, no anomalous dispersion.

Principal peaks in the range 2θ = 15–90°, low angle first:
two_theta  I (rel.)
33.4  90.8
33.6  100.0
43.7  10.5
48.2  32.9
60.0  34.0
60.2  18.9
66.8  27.9
70.7  11.7
80.5  14.9
86.6  14.3

Structural model:
a b c (Å): 9.229 9.229 6.582
angles (deg): 90.00 90.00 120.00
Fractional positions:
Pr 0.000 0.339 0.250
Pr 0.000 0.661 0.750
Pr 0.339 0.000 0.250
Pr 0.339 0.339 0.750
Pr 0.661 0.000 0.750
Pr 0.661 0.661 0.250
In 0.000 0.000 0.000
In 0.000 0.000 0.500
Hg 0.000 0.328 0.750
Hg 0.000 0.672 0.250
Hg 0.328 0.000 0.750
Hg 0.328 0.328 0.250
Hg 0.333 0.667 0.000
Hg 0.333 0.667 0.500
Hg 0.667 0.333 0.000
Hg 0.667 0.333 0.500
Hg 0.672 0.000 0.250
Hg 0.672 0.672 0.750

---

Entry 2:
Simulated powder X-ray diffraction pattern
Compound: KCuP2S6
Radiation: Cu Kα X-rays
Structure: DFT lattice parameters and positions (PBE)
Neutral-atom scattering factors, no anomalous dispersion.

Principal peaks in the range 2θ = 15–90°, low angle first:
two_theta  I (rel.)
16.8  56.5
18.4  29.3
22.2  100.0
23.7  25.6
26.1  48.2
28.5  50.2
31.4  25.2
31.9  29.1
33.4  24.6
37.4  25.9

Structural model:
a b c (Å): 9.871 9.871 5.807
angles (deg): 97.65 97.65 98.91
Fractional positions:
K 0.127 0.873 0.750
K 0.873 0.127 0.250
Cu 0.354 0.646 0.250
Cu 0.646 0.354 0.750
P 0.217 0.354 0.855
P 0.354 0.217 0.355
P 0.646 0.783 0.645
P 0.783 0.646 0.145
S 0.052 0.208 0.797
S 0.184 0.547 0.979
S 0.208 0.052 0.297
S 0.305 0.400 0.548
S 0.400 0.305 0.048
S 0.453 0.816 0.521
S 0.547 0.184 0.479
S 0.600 0.695 0.952
S 0.695 0.600 0.452
S 0.792 0.948 0.703
S 0.816 0.453 0.021
S 0.948 0.792 0.203